Simulated X-ray diffraction stick pattern
Compound: Pa2PbSe6
Radiation: CuKα
Structure: the GGA-PBE geometry in Alexandria
Peak positions follow from Bragg's law for the DFT cell and can differ from measured ones.

Most intense lines, 15 to 90 degrees two-theta, low angle first:
2θ (°), d [Å], I (rel.)
19.81, 4.482, 100
28.28, 3.156, 49
31.73, 2.820, 30
37.50, 2.399, 86
40.51, 2.227, 35
43.19, 2.095, 44

Cell and atoms:
```
data_Pa2PbSe6
_chemical_formula_sum 'Pa4 Pb2 Se12'
_symmetry_space_group_name_H-M 'P 1'
_symmetry_Int_Tables_number 1
_cell_length_a 9.6712
_cell_length_b 9.6712
_cell_length_c 7.2564
_cell_angle_alpha 112.03
_cell_angle_beta 112.03
_cell_angle_gamma 81.06
loop_
_symmetry_equiv_pos_as_xyz
'x,y,z'
loop_
_atom_site_label
_atom_site_type_symbol
_atom_site_fract_x
_atom_site_fract_y
_atom_site_fract_z
_atom_site_occupancy
Pa1 Pa 0.1667 0.3334 0.9997 1
Pa2 Pa 0.3334 0.1667 0.4997 1
Pa3 Pa 0.6666 0.8333 0.5003 1
Pa4 Pa 0.8333 0.6666 0.0003 1
Pb1 Pb 0.2498 0.7502 0.7500 1
Pb2 Pb 0.7502 0.2498 0.2500 1
Se1 Se 0.0614 0.1989 0.1986 1
Se2 Se 0.1198 0.6197 0.2578 1
Se3 Se 0.1989 0.0614 0.6986 1
Se4 Se 0.3007 0.4389 0.8002 1
Se5 Se 0.3803 0.8802 0.2422 1
Se6 Se 0.4389 0.3007 0.3002 1
Se7 Se 0.5611 0.6993 0.6998 1
Se8 Se 0.6197 0.1198 0.7578 1
Se9 Se 0.6993 0.5611 0.1998 1
Se10 Se 0.8011 0.9386 0.3014 1
Se11 Se 0.8802 0.3803 0.7422 1
Se12 Se 0.9386 0.8011 0.8014 1
```